Diffraction record for NpCdSb. The powder X-ray diffraction pattern is calculated, not measured: it uses a structure optimized by DFT (GGA-PBE) and a wavelength of 1.5418 Å.
Intensities are scaled so that the largest is 100.

Structural model:
Cell lengths 3.5765, 3.5765, 39.5401 Å; angles 90.00, 90.00, 120.00 degrees
Space group R-3m (No. 166, hexagonal axes)
Inequivalent atoms, fractional coordinates:
Np 0.0000 0.0000 0.1829 [6 per cell]
Cd 0.0000 0.0000 0.3614 [6 per cell]
Sb 0.0000 0.0000 0.0881 [6 per cell]

Top 10 peaks for 2θ = 10–80°, low angle first:
2θ/deg  I_rel  (hkl)
13.44  29.5  0 0 6
28.91  14.9  1 0 1
30.24  38.1  1 0 4
32.98  43.1  1 0 7
34.16  18.5  0 1 8
38.36  100.0  0 1 11
51.08  44.7  1 1 0
53.03  14.4  1 0 19
59.46  26.2  1 0 22
65.64  20.6  2 0 11

---

Diffraction record for TbNdErTm. The powder X-ray diffraction pattern is calculated, not measured: it uses a structure optimized by DFT (GGA-PBE) and a wavelength of 1.5418 Å.
Intensities are scaled so that the largest is 100.

Structural model:
Cell lengths 3.5770, 3.5770, 34.5630 Å; angles 90.00, 90.00, 120.00 degrees
Space group R3m (No. 160, hexagonal axes)
Inequivalent atoms, fractional coordinates:
Tb 0.0000 0.0000 0.0000 [3 per cell]
Nd 0.0000 0.0000 0.8338 [3 per cell]
Er 0.0000 0.0000 0.5848 [3 per cell]
Tm 0.0000 0.0000 0.4152 [3 per cell]

Top 10 peaks for 2θ = 10–80°, low angle first:
2θ/deg  I_rel  (hkl)
29.29  32.6  0 1 2
31.05  48.4  0 0 12
31.65  100.0  0 1 5
34.17  77.5  1 0 7
39.05  17.9  1 0 10
51.07  36.6  1 1 0
53.94  23.3  0 1 17
58.87  15.3  1 0 19
60.98  42.7  1 1 12
61.34  16.0  2 0 5

---

Diffraction record for Sm2Cd3Ag3. The powder X-ray diffraction pattern is calculated, not measured: it uses a structure optimized by DFT (GGA-PBE) and a wavelength of 1.5418 Å.
Intensities are scaled so that the largest is 100.

Structural model:
Cell lengths 5.0473, 5.0473, 24.5700 Å; angles 90.00, 90.00, 120.00 degrees
Space group R3m (No. 160, hexagonal axes)
Inequivalent atoms, fractional coordinates:
Sm 0.0000 0.0000 0.0000 [3 per cell]
Sm 0.0000 0.0000 0.4949 [3 per cell]
Cd 0.0000 0.0000 0.2485 [3 per cell]
Cd 0.0000 0.0000 0.7463 [3 per cell]
Cd 0.0000 0.0000 0.8730 [3 per cell]
Ag 0.0000 0.0000 0.1250 [3 per cell]
Ag 0.0000 0.0000 0.3702 [3 per cell]
Ag 0.0000 0.0000 0.6218 [3 per cell]

Top 10 peaks for 2θ = 10–80°, low angle first:
2θ/deg  I_rel  (hkl)
21.58  1.5  0 1 2
25.00  1.4  1 0 4
35.57  100.0  1 1 0
35.73  97.9  0 1 8
51.31  33.9  2 0 8
63.89  17.2  3 0 0
63.99  34.0  1 2 8
64.30  16.3  1 0 16
75.32  10.6  2 2 0
75.69  10.1  0 2 16

---

Diffraction record for ErB4Rh. The powder X-ray diffraction pattern is calculated, not measured: it uses a structure optimized by DFT (GGA-PBE) and a wavelength of 1.5418 Å.
Intensities are scaled so that the largest is 100.

Structural model:
Cell lengths 5.9409, 11.5158, 3.5503 Å; angles 90.00, 90.00, 90.00 degrees
Space group Pbam (No. 55)
Inequivalent atoms, fractional coordinates:
Er 0.1314 0.1489 0.0000 [4 per cell]
B 0.0222 0.6933 0.5000 [4 per cell]
B 0.1126 0.5473 0.5000 [4 per cell]
B 0.1355 0.9694 0.5000 [4 per cell]
B 0.2089 0.8127 0.5000 [4 per cell]
Rh 0.1423 0.4052 0.0000 [4 per cell]

Top 10 peaks for 2θ = 10–80°, low angle first:
2θ/deg  I_rel  (hkl)
25.08  74.6  0 0 1
31.08  83.5  0 4 0
34.62  16.5  1 4 0
37.69  17.7  1 3 1
38.31  19.4  2 3 0
40.35  100.0  0 4 1
43.23  22.2  1 4 1
46.34  27.2  2 3 1
51.48  17.0  0 0 2
61.37  24.5  0 4 2

---

Diffraction record for Sr2NdCdHg6. The powder X-ray diffraction pattern is calculated, not measured: it uses a structure optimized by DFT (GGA-PBE) and a wavelength of 1.5418 Å.
Intensities are scaled so that the largest is 100.

Structural model:
Cell lengths 11.3991, 11.3991, 11.3991 Å; angles 90.00, 90.00, 90.00 degrees
Space group Fm-3m (No. 225)
Inequivalent atoms, fractional coordinates:
Sr 0.2500 0.2500 0.2500 [8 per cell]
Nd 0.0000 0.0000 0.0000 [4 per cell]
Cd 0.0000 0.0000 0.5000 [4 per cell]
Hg 0.0000 0.0000 0.2576 [24 per cell]

Top 10 peaks for 2θ = 10–80°, low angle first:
2θ/deg  I_rel  (hkl)
15.55  46.2  2 0 0
27.10  89.6  2 2 2
31.39  100.0  4 0 0
35.21  25.4  4 2 0
44.99  74.4  4 4 0
47.88  13.4  6 0 0
53.31  42.1  6 2 2
55.88  26.0  4 4 4
72.25  17.0  6 6 2
74.44  33.2  8 4 0

---

Diffraction record for SrPb3O6. The powder X-ray diffraction pattern is calculated, not measured: it uses a structure optimized by DFT (GGA-PBE) and a wavelength of 1.5418 Å.
Intensities are scaled so that the largest is 100.

Structural model:
Cell lengths 8.1055, 11.6634, 3.4837 Å; angles 90.00, 90.00, 90.00 degrees
Space group Cmmm (No. 65)
Inequivalent atoms, fractional coordinates:
Sr 0.0000 0.0000 0.0000 [2 per cell]
Pb 0.0000 0.5000 0.0000 [2 per cell]
Pb 0.2500 0.2500 0.5000 [4 per cell]
O 0.0000 0.1688 0.5000 [4 per cell]
O 0.2138 0.3700 0.0000 [8 per cell]

Top 10 peaks for 2θ = 10–80°, low angle first:
2θ/deg  I_rel  (hkl)
26.79  100.0  2 2 0
29.88  82.7  0 2 1
30.66  28.8  0 4 0
33.93  43.0  2 0 1
44.72  16.2  4 0 0
46.38  58.3  2 4 1
52.19  18.6  2 6 0
54.02  14.8  0 6 1
54.72  31.1  4 2 1
59.94  22.3  2 2 2